# 1
Computed powder diffraction line list
Compound: SrCaZrNbO6
Radiation: λ = 1.5418 Å (Cu Kα)
Structure: a crystal structure in the Materials Project, relaxed with PBE

Cell and atoms:
abc: 5.8338 5.8338 5.8338
angles: 60.00 60.00 60.00
Positions (direct):
Sr1 0.0000 0.0000 0.0000
Ca1 0.5000 0.5000 0.5000
Zr1 0.2500 0.2500 0.2500
Nb1 0.7500 0.7500 0.7500
O1 0.5042 0.5042 0.9958
O2 0.5042 0.9958 0.5042
O3 0.5042 0.9958 0.9958
O4 0.9958 0.5042 0.5042
O5 0.9958 0.5042 0.9958
O6 0.9958 0.9958 0.5042

Peak list (10 most intense, 2θ = 10–80°, low angle first)
2θ 18.6, intensity 5
2θ 21.5, intensity 14
2θ 30.6, intensity 100
2θ 36.1, intensity 3
2θ 43.9, intensity 38
2θ 49.4, intensity 5
2θ 54.5, intensity 39
2θ 63.8, intensity 22
2θ 68.2, intensity 2
2θ 72.5, intensity 17

# 2
Computed powder diffraction line list
Compound: AlAg
Radiation: λ = 1.5418 Å (Cu Kα)
Structure: a crystal structure in the Materials Project, relaxed with PBE

Cell and atoms:
abc: 2.9669 2.9669 4.4276
angles: 90.00 90.00 120.00
Positions (direct):
Al1 0.0000 0.0000 0.0000
Ag1 0.6667 0.3333 0.5000

Peak list (10 most intense, 2θ = 10–80°, low angle first)
2θ 20.1, intensity 45
2θ 34.9, intensity 48
2θ 40.6, intensity 100
2θ 40.8, intensity 20
2θ 54.7, intensity 25
2θ 62.6, intensity 16
2θ 66.5, intensity 9
2θ 74.1, intensity 16
2θ 77.3, intensity 14
2θ 77.4, intensity 17

# 3
Computed powder diffraction line list
Compound: NdPH5CO7
Radiation: λ = 1.5418 Å (Cu Kα)
Structure: a crystal structure in the Materials Project, relaxed with PBE

Cell and atoms:
abc: 6.7155 7.1074 7.9083
angles: 68.62 83.70 89.88
Positions (direct):
Nd1 0.1297 0.2225 0.0658
Nd2 0.8703 0.7775 0.9342
P1 0.3249 0.7481 0.0180
P2 0.6751 0.2519 0.9820
H1 0.1689 0.5230 0.6729
H2 0.2833 0.3328 0.6417
H3 0.3708 0.7074 0.1971
H4 0.4718 0.2547 0.3909
H5 0.4751 0.8698 0.4138
H6 0.5249 0.1302 0.5862
H7 0.5282 0.7453 0.6091
H8 0.6292 0.2926 0.8029
H9 0.7167 0.6672 0.3583
H10 0.8311 0.4770 0.3271
C1 0.0628 0.9091 0.4983
C2 0.9372 0.0909 0.5017
O1 0.0554 0.7579 0.6477
O2 0.1631 0.9242 0.3490
O3 0.1812 0.5748 0.0246
O4 0.1977 0.9398 0.9634
O5 0.2145 0.3841 0.7333
O6 0.4168 0.2043 0.5199
O7 0.4779 0.2278 0.1053
O8 0.5221 0.7722 0.8947
O9 0.5832 0.7957 0.4801
O10 0.7855 0.6159 0.2667
O11 0.8023 0.0602 0.0366
O12 0.8188 0.4252 0.9754
O13 0.8369 0.0758 0.6510
O14 0.9446 0.2421 0.3523

Peak list (10 most intense, 2θ = 10–80°, low angle first)
2θ 12.1, intensity 100
2θ 13.3, intensity 34
2θ 18.5, intensity 13
2θ 19.0, intensity 35
2θ 24.3, intensity 23
2θ 25.2, intensity 21
2θ 27.0, intensity 20
2θ 29.0, intensity 17
2θ 29.7, intensity 29
2θ 32.7, intensity 15

# 4
Computed powder diffraction line list
Compound: LiHPd
Radiation: λ = 1.5418 Å (Cu Kα)
Structure: a crystal structure in the Materials Project, relaxed with PBE

Cell and atoms:
abc: 2.8091 2.8091 3.9158
angles: 90.00 90.00 90.00
Positions (direct):
Li1 0.0000 0.0000 0.0000
H1 0.0000 0.0000 0.5000
Pd1 0.5000 0.5000 0.5000

Peak list (10 most intense, 2θ = 10–80°, low angle first)
2θ 22.7, intensity 95
2θ 31.9, intensity 74
2θ 39.5, intensity 100
2θ 45.7, intensity 34
2θ 46.4, intensity 16
2θ 51.6, intensity 39
2θ 57.4, intensity 27
2θ 67.1, intensity 21
2θ 71.3, intensity 14
2θ 75.7, intensity 12

# 5
Computed powder diffraction line list
Compound: YOs2
Radiation: λ = 1.5418 Å (Cu Kα)
Structure: a crystal structure in the Materials Project, relaxed with PBE

Cell and atoms:
abc: 5.3346 5.3346 8.8436
angles: 90.00 90.00 120.00
Positions (direct):
Y1 0.3333 0.6667 0.0646
Y2 0.3333 0.6667 0.4354
Y3 0.6667 0.3333 0.5646
Y4 0.6667 0.3333 0.9354
Os1 0.0000 0.0000 0.0000
Os2 0.0000 0.0000 0.5000
Os3 0.1725 0.3449 0.7500
Os4 0.1725 0.8275 0.7500
Os5 0.3449 0.1725 0.2500
Os6 0.6551 0.8275 0.7500
Os7 0.8275 0.1725 0.2500
Os8 0.8275 0.6551 0.2500

Peak list (10 most intense, 2θ = 10–80°, low angle first)
2θ 19.2, intensity 29
2θ 36.1, intensity 48
2θ 39.5, intensity 88
2θ 40.4, intensity 100
2θ 40.8, intensity 30
2θ 44.2, intensity 43
2θ 50.2, intensity 21
2θ 64.0, intensity 22
2θ 66.6, intensity 33
2θ 70.6, intensity 27

# 6
Computed powder diffraction line list
Compound: Sr
Radiation: λ = 1.5418 Å (Cu Kα)
Structure: a crystal structure in the Materials Project, relaxed with PBE

Cell and atoms:
abc: 4.0702 4.0702 3.7738
angles: 90.00 90.00 120.00
Positions (direct):
Sr1 0.0000 0.0000 0.0000

Peak list (10 most intense, 2θ = 10–80°, low angle first)
2θ 23.6, intensity 40
2θ 25.3, intensity 100
2θ 34.8, intensity 87
2θ 44.5, intensity 21
2θ 51.0, intensity 29
2θ 51.9, intensity 14
2θ 55.2, intensity 23
2θ 57.7, intensity 20
2θ 67.7, intensity 12
2θ 75.7, intensity 18

# 7
Computed powder diffraction line list
Compound: MgSi2
Radiation: λ = 1.5418 Å (Cu Kα)
Structure: a crystal structure in the Materials Project, relaxed with PBE

Cell and atoms:
abc: 5.0727 5.0727 12.7956
angles: 104.44 104.44 41.37
Positions (direct):
Mg1 0.0046 0.0046 0.1166
Mg2 0.3300 0.3300 0.6927
Mg3 0.6700 0.6700 0.3073
Mg4 0.9954 0.9954 0.8834
Si1 0.1399 0.1399 0.4814
Si2 0.2891 0.2891 0.9251
Si3 0.3295 0.3295 0.2010
Si4 0.4297 0.4297 0.3968
Si5 0.5703 0.5703 0.6032
Si6 0.6705 0.6705 0.7990
Si7 0.7109 0.7109 0.0749
Si8 0.8601 0.8601 0.5186

Peak list (10 most intense, 2θ = 10–80°, low angle first)
2θ 32.9, intensity 53
2θ 37.8, intensity 71
2θ 37.9, intensity 100
2θ 38.6, intensity 48
2θ 38.8, intensity 47
2θ 39.4, intensity 51
2θ 40.6, intensity 36
2θ 41.8, intensity 79
2θ 42.5, intensity 43
2θ 51.0, intensity 62